# 1
Computed PXRD pattern
Compound: SmRe2AgO8
Radiation: Cu Kα, 1.54184 Å
Structure: a cell relaxed with GGA-PBE

The 10 most intense peaks (10 to 90 degrees two-theta), in order of falling intensity:
2θ = 20.75°, I = 1000
2θ = 27.54°, I = 802
2θ = 31.36°, I = 520
2θ = 42.22°, I = 274
2θ = 51.15°, I = 247
2θ = 44.88°, I = 243
2θ = 63.04°, I = 167
2θ = 48.69°, I = 166
2θ = 56.85°, I = 141
2θ = 34.73°, I = 129

Atomic structure:
abc: 6.478 6.478 6.625
angles: 90.00 90.00 120.00
Atoms (fractional coordinates):
Sm1 0.000 0.000 0.000
Re1 0.333 0.667 0.256
Re2 0.667 0.333 0.744
Ag1 0.000 0.000 0.500
O1 0.182 0.364 0.175
O2 0.182 0.818 0.175
O3 0.333 0.667 0.519
O4 0.364 0.182 0.825
O5 0.636 0.818 0.175
O6 0.667 0.333 0.481
O7 0.818 0.182 0.825
O8 0.818 0.636 0.825

# 2
Computed PXRD pattern
Compound: SrReAg2O6
Radiation: Cu Kα, 1.54184 Å
Structure: a cell relaxed with GGA-PBE

The 10 most intense peaks (10 to 90 degrees two-theta), in order of falling intensity:
2θ = 30.25°, I = 1000
2θ = 28.98°, I = 584
2θ = 29.76°, I = 564
2θ = 30.66°, I = 561
2θ = 31.06°, I = 485
2θ = 55.10°, I = 225
2θ = 43.04°, I = 219
2θ = 42.93°, I = 217
2θ = 43.58°, I = 213
2θ = 18.94°, I = 208

Atomic structure:
abc: 5.761 5.839 5.916
angles: 63.26 61.96 61.36
Atoms (fractional coordinates):
Sr1 0.000 0.000 0.000
Re1 0.503 0.501 0.499
Ag1 0.287 0.291 0.136
Ag2 0.764 0.757 0.754
O1 0.146 0.405 0.784
O2 0.283 0.786 0.309
O3 0.419 0.695 0.726
O4 0.567 0.254 0.338
O5 0.653 0.166 0.781
O6 0.842 0.552 0.304

# 3
Computed PXRD pattern
Compound: TlReAg2O4
Radiation: Cu Kα, 1.54184 Å
Structure: a cell relaxed with GGA-PBE

The 10 most intense peaks (10 to 90 degrees two-theta), in order of falling intensity:
2θ = 26.86°, I = 1000
2θ = 30.92°, I = 749
2θ = 31.14°, I = 736
2θ = 49.91°, I = 490
2θ = 50.35°, I = 396
2θ = 57.63°, I = 271
2θ = 37.98°, I = 223
2θ = 38.73°, I = 213
2θ = 55.37°, I = 126
2θ = 18.73°, I = 110

Atomic structure:
abc: 7.302 9.475 5.907
angles: 90.00 128.06 90.00
Atoms (fractional coordinates):
Tl1 0.000 0.000 0.000
Tl2 0.500 0.500 0.000
Re1 0.000 0.500 0.000
Re2 0.500 0.000 0.000
Ag1 0.499 0.250 0.499
Ag2 0.499 0.750 0.499
Ag3 0.999 0.250 0.499
Ag4 0.999 0.750 0.499
O1 0.011 0.500 0.310
O2 0.143 0.348 0.999
O3 0.143 0.652 0.999
O4 0.202 0.000 0.691
O5 0.511 0.000 0.310
O6 0.643 0.152 0.999
O7 0.643 0.848 0.999
O8 0.702 0.500 0.691

# 4
Computed PXRD pattern
Compound: AgRhSe2O8
Radiation: Cu Kα, 1.54184 Å
Structure: a cell relaxed with GGA-PBE

The 10 most intense peaks (10 to 90 degrees two-theta), in order of falling intensity:
2θ = 25.72°, I = 1000
2θ = 36.52°, I = 359
2θ = 36.86°, I = 286
2θ = 45.21°, I = 204
2θ = 59.46°, I = 179
2θ = 59.93°, I = 171
2θ = 65.74°, I = 108
2θ = 65.96°, I = 106
2θ = 52.86°, I = 105
2θ = 83.37°, I = 70

Atomic structure:
abc: 8.422 8.422 8.422
angles: 33.97 33.97 33.97
Atoms (fractional coordinates):
Ag1 0.000 0.000 0.000
Rh1 0.500 0.500 0.500
Se1 0.241 0.241 0.241
Se2 0.759 0.759 0.759
O1 0.115 0.454 0.774
O2 0.226 0.885 0.546
O3 0.311 0.311 0.311
O4 0.454 0.774 0.115
O5 0.546 0.226 0.885
O6 0.689 0.689 0.689
O7 0.774 0.115 0.454
O8 0.885 0.546 0.226

# 5
Computed PXRD pattern
Compound: Sr2AgRhO5
Radiation: Cu Kα, 1.54184 Å
Structure: a cell relaxed with GGA-PBE

The 10 most intense peaks (10 to 90 degrees two-theta), in order of falling intensity:
2θ = 29.73°, I = 1000
2θ = 33.36°, I = 714
2θ = 31.86°, I = 607
2θ = 39.80°, I = 424
2θ = 53.10°, I = 352
2θ = 38.16°, I = 337
2θ = 50.53°, I = 304
2θ = 63.79°, I = 295
2θ = 39.54°, I = 239
2θ = 46.60°, I = 195

Atomic structure:
abc: 7.973 7.973 9.434
angles: 90.00 90.00 155.83
Atoms (fractional coordinates):
Sr1 0.123 0.877 0.531
Sr2 0.123 0.877 0.969
Sr3 0.877 0.123 0.031
Sr4 0.877 0.123 0.469
Ag1 0.491 0.509 0.750
Ag2 0.509 0.491 0.250
Rh1 0.228 0.772 0.250
Rh2 0.772 0.228 0.750
O1 0.104 0.896 0.250
O2 0.276 0.724 0.618
O3 0.276 0.724 0.882
O4 0.359 0.641 0.250
O5 0.500 0.500 0.000
O6 0.500 0.500 0.500
O7 0.641 0.359 0.750
O8 0.724 0.276 0.118
O9 0.724 0.276 0.382
O10 0.896 0.104 0.750

# 6
Computed PXRD pattern
Compound: AgRuO4
Radiation: Cu Kα, 1.54184 Å
Structure: a cell relaxed with GGA-PBE

The 10 most intense peaks (10 to 90 degrees two-theta), in order of falling intensity:
2θ = 21.58°, I = 1000
2θ = 34.53°, I = 404
2θ = 26.63°, I = 394
2θ = 39.40°, I = 283
2θ = 55.90°, I = 269
2θ = 38.01°, I = 163
2θ = 52.28°, I = 160
2θ = 44.12°, I = 118
2θ = 59.62°, I = 97
2θ = 61.98°, I = 96

Atomic structure:
abc: 6.696 6.696 5.223
angles: 90.00 90.00 90.00
Atoms (fractional coordinates):
Ag1 0.000 0.000 0.000
Ag2 0.500 0.500 0.500
Ru1 0.000 0.500 0.750
Ru2 0.500 0.000 0.250
O1 0.108 0.686 0.945
O2 0.186 0.392 0.555
O3 0.314 0.108 0.055
O4 0.392 0.814 0.445
O5 0.608 0.186 0.445
O6 0.686 0.892 0.055
O7 0.814 0.608 0.555
O8 0.892 0.314 0.945

# 7
Computed PXRD pattern
Compound: Ag4Ru6O19
Radiation: Cu Kα, 1.54184 Å
Structure: a cell relaxed with GGA-PBE

The 10 most intense peaks (10 to 90 degrees two-theta), in order of falling intensity:
2θ = 30.79°, I = 1000
2θ = 23.73°, I = 570
2θ = 36.61°, I = 567
2θ = 50.68°, I = 510
2θ = 19.33°, I = 273
2θ = 33.81°, I = 243
2θ = 60.48°, I = 231
2θ = 54.74°, I = 209
2θ = 62.32°, I = 170
2θ = 41.73°, I = 142

Atomic structure:
abc: 7.954 7.954 7.954
angles: 109.47 109.47 109.47
Atoms (fractional coordinates):
Ag1 0.000 0.000 0.724
Ag2 0.000 0.724 0.000
Ag3 0.276 0.276 0.276
Ag4 0.724 0.000 0.000
Ru1 0.166 0.666 0.500
Ru2 0.334 0.500 0.834
Ru3 0.500 0.166 0.666
Ru4 0.500 0.834 0.334
Ru5 0.666 0.500 0.166
Ru6 0.834 0.334 0.500
O1 0.000 0.000 0.000
O2 0.000 0.370 0.370
O3 0.000 0.630 0.630
O4 0.046 0.316 0.699
O5 0.270 0.954 0.653
O6 0.301 0.617 0.347
O7 0.316 0.699 0.046
O8 0.347 0.301 0.617
O9 0.370 0.000 0.370
O10 0.370 0.370 0.000
O11 0.383 0.684 0.730
O12 0.617 0.347 0.301
O13 0.630 0.000 0.630
O14 0.630 0.630 0.000
O15 0.653 0.270 0.954
O16 0.684 0.730 0.383
O17 0.699 0.046 0.316
O18 0.730 0.383 0.684
O19 0.954 0.653 0.270

# 8
Computed PXRD pattern
Compound: AgRuO3
Radiation: Cu Kα, 1.54184 Å
Structure: a cell relaxed with GGA-PBE

The 10 most intense peaks (10 to 90 degrees two-theta), in order of falling intensity:
2θ = 29.31°, I = 1000
2θ = 33.03°, I = 980
2θ = 50.92°, I = 549
2θ = 32.86°, I = 366
2θ = 37.78°, I = 349
2θ = 60.86°, I = 276
2θ = 49.63°, I = 190
2θ = 67.33°, I = 180
2θ = 58.77°, I = 178
2θ = 60.92°, I = 154

Atomic structure:
abc: 3.126 3.674 5.452
angles: 90.00 90.07 90.00
Atoms (fractional coordinates):
Ag1 0.000 0.000 0.000
Ru1 0.500 0.500 0.500
O1 0.000 0.500 0.255
O2 0.000 0.500 0.745
O3 0.500 0.000 0.500

# 9
Computed PXRD pattern
Compound: Tb3Ag3RuO8
Radiation: Cu Kα, 1.54184 Å
Structure: a cell relaxed with GGA-PBE

The 10 most intense peaks (10 to 90 degrees two-theta), in order of falling intensity:
2θ = 37.02°, I = 1000
2θ = 32.12°, I = 865
2θ = 31.31°, I = 332
2θ = 53.89°, I = 327
2θ = 52.83°, I = 317
2θ = 15.51°, I = 233
2θ = 63.62°, I = 181
2θ = 67.18°, I = 157
2θ = 18.27°, I = 146
2θ = 64.13°, I = 126

Atomic structure:
abc: 6.805 6.805 6.942
angles: 119.46 119.46 60.02
Atoms (fractional coordinates):
Tb1 0.000 0.000 0.000
Tb2 0.000 0.500 0.000
Tb3 0.500 0.000 0.000
Ag1 0.000 0.500 0.500
Ag2 0.500 0.000 0.500
Ag3 0.500 0.500 0.500
Ru1 0.500 0.500 0.000
O1 0.230 0.230 0.188
O2 0.263 0.713 0.189
O3 0.287 0.287 0.812
O4 0.287 0.737 0.811
O5 0.713 0.263 0.189
O6 0.713 0.713 0.188
O7 0.737 0.287 0.811
O8 0.770 0.770 0.812

# 10
Computed PXRD pattern
Compound: AgTeRuO6
Radiation: Cu Kα, 1.54184 Å
Structure: a cell relaxed with GGA-PBE

The 10 most intense peaks (10 to 90 degrees two-theta), in order of falling intensity:
2θ = 26.39°, I = 1000
2θ = 50.19°, I = 453
2θ = 34.00°, I = 416
2θ = 43.54°, I = 233
2θ = 56.37°, I = 228
2θ = 17.67°, I = 159
2θ = 60.85°, I = 142
2θ = 38.57°, I = 116
2θ = 82.68°, I = 94
2θ = 58.78°, I = 93

Atomic structure:
abc: 5.273 5.273 10.039
angles: 90.00 90.00 120.00
Atoms (fractional coordinates):
Ag1 0.000 0.000 0.000
Ag2 0.000 0.000 0.500
Te1 0.333 0.667 0.250
Te2 0.667 0.333 0.750
Ru1 0.333 0.667 0.750
Ru2 0.667 0.333 0.250
O1 0.001 0.376 0.641
O2 0.001 0.625 0.859
O3 0.375 0.376 0.859
O4 0.375 0.999 0.641
O5 0.376 0.001 0.141
O6 0.376 0.375 0.359
O7 0.624 0.625 0.641
O8 0.624 0.999 0.859
O9 0.625 0.001 0.359
O10 0.625 0.624 0.141
O11 0.999 0.375 0.141
O12 0.999 0.624 0.359

# 11
Computed PXRD pattern
Compound: Tl2AgRuO4
Radiation: Cu Kα, 1.54184 Å
Structure: a cell relaxed with GGA-PBE

The 10 most intense peaks (10 to 90 degrees two-theta), in order of falling intensity:
2θ = 31.95°, I = 1000
2θ = 21.56°, I = 937
2θ = 33.29°, I = 714
2θ = 30.83°, I = 507
2θ = 30.99°, I = 472
2θ = 40.91°, I = 417
2θ = 52.19°, I = 398
2θ = 29.20°, I = 345
2θ = 36.72°, I = 327
2θ = 16.55°, I = 241

Atomic structure:
abc: 10.798 9.672 6.602
angles: 80.75 62.14 37.12
Atoms (fractional coordinates):
Tl1 0.058 0.058 0.692
Tl2 0.308 0.308 0.942
Tl3 0.692 0.692 0.058
Tl4 0.942 0.942 0.308
Ag1 0.125 0.125 0.125
Ag2 0.875 0.875 0.875
Ru1 0.375 0.375 0.375
Ru2 0.625 0.625 0.625
O1 0.051 0.610 0.502
O2 0.337 0.502 0.610
O3 0.390 0.949 0.663
O4 0.498 0.663 0.949
O5 0.502 0.337 0.051
O6 0.610 0.051 0.337
O7 0.663 0.498 0.390
O8 0.949 0.390 0.498

# 12
Computed PXRD pattern
Compound: Ag4SO
Radiation: Cu Kα, 1.54184 Å
Structure: a cell relaxed with GGA-PBE

The 10 most intense peaks (10 to 90 degrees two-theta), in order of falling intensity:
2θ = 33.39°, I = 1000
2θ = 38.63°, I = 277
2θ = 30.28°, I = 229
2θ = 27.88°, I = 176
2θ = 62.92°, I = 168
2θ = 47.58°, I = 142
2θ = 66.59°, I = 125
2θ = 49.85°, I = 105
2θ = 36.63°, I = 89
2θ = 48.41°, I = 89

Atomic structure:
abc: 4.662 7.644 6.400
angles: 90.00 90.00 90.00
Atoms (fractional coordinates):
Ag1 0.250 0.011 0.237
Ag2 0.250 0.250 0.686
Ag3 0.250 0.489 0.237
Ag4 0.250 0.750 0.879
Ag5 0.750 0.250 0.121
Ag6 0.750 0.511 0.763
Ag7 0.750 0.750 0.314
Ag8 0.750 0.989 0.763
S1 0.250 0.750 0.447
S2 0.750 0.250 0.553
O1 0.250 0.250 0.061
O2 0.750 0.750 0.939